For SmFeSi2Ru, a GGA-PBE-relaxed structure gives the calculated X-ray powder pattern in this record (Cu Kα (weighted mean of Kα1 and Kα2)).
Neutral-atom scattering factors, no anomalous dispersion.

Principal peaks in the range 5 to 70 degrees two-theta, in order of falling intensity:
Position (°2θ)  I/Imax  hkl
36.08  100  1 1 2
35.27  46  1 0 3
23.57  45  1 0 1
44.24  41  2 0 0
57.80  22  2 1 3
65.96  19  1 1 6
58.93  17  2 0 4
36.90  16  0 0 4
64.34  13  2 2 0
51.97  13  1 0 5

Lattice parameters (Å, degrees): 4.0951 4.0951 9.7427 90.00 90.00 90.00
Space group I-4m2 (No. 119)
Asymmetric unit:
Sm (0.0000, 0.0000, 0.0000) x2
Fe (0.0000, 0.5000, 0.7500) x2
Si (0.0000, 0.0000, 0.3665) x4
Ru (0.0000, 0.5000, 0.2500) x2